1.
Simulated powder diffractogram of Co11CuO16 for Cu Kα X-rays, from a cell relaxed with PBE+U.
Intensities are scaled so that the largest is 100.

Atomic structure:
```
Co11CuO16
1.0
5.7906 0.0000 0.0000
0.0000 5.7712 0.0000
-0.0853 0.0000 8.2402
Co Cu O
11 1 16
Direct
0.0000 0.0000 0.0000
0.0000 0.5000 0.5000
0.2484 0.2493 0.7500
0.2484 0.7507 0.7500
0.2502 0.5000 0.1242
0.2507 0.0000 0.3783
0.5000 0.0000 0.0000
0.7493 0.0000 0.6217
0.7498 0.5000 0.8758
0.7516 0.2493 0.2500
0.7516 0.7507 0.2500
0.5000 0.5000 0.5000
0.0246 0.5000 0.7358
0.0290 0.0000 0.7531
0.2427 0.2726 0.5174
0.2427 0.7274 0.5174
0.2509 0.2234 0.9845
0.2509 0.7766 0.9845
0.4686 0.5000 0.7461
0.4738 0.0000 0.7643
0.5262 0.0000 0.2357
0.5314 0.5000 0.2539
0.7491 0.2234 0.0155
0.7491 0.7766 0.0155
0.7573 0.2726 0.4826
0.7573 0.7274 0.4826
0.9710 0.0000 0.2469
0.9754 0.5000 0.2642
```

Main lines, in order of rising 2θ (2θ = 10–90°):
| 2theta | I_rel |
| --- | --- |
| 18.79 | 28 |
| 30.70 | 28 |
| 30.92 | 44 |
| 36.25 | 100 |
| 36.39 | 71 |
| 36.50 | 96 |
| 44.32 | 38 |
| 58.68 | 30 |
| 63.93 | 42 |
| 64.42 | 63 |

=====

2.
Simulated powder diffractogram of Co9Cu3O16 for Cu Kα X-rays, from a cell relaxed with PBE+U.
Intensities are scaled so that the largest is 100.

Atomic structure:
```
Co9Cu3O16
1.0
5.7525 0.0000 0.0000
0.0000 5.7525 0.0000
0.0000 0.0000 8.1096
Co Cu O
9 3 16
Direct
0.0000 0.0000 0.0000
0.0000 0.2505 0.6243
0.0000 0.7495 0.6243
0.2505 0.0000 0.3757
0.2508 0.5000 0.8744
0.5000 0.2508 0.1256
0.5000 0.7492 0.1256
0.7492 0.5000 0.8744
0.7495 0.0000 0.3757
0.0000 0.5000 0.2518
0.5000 0.0000 0.7482
0.5000 0.5000 0.5000
0.0000 0.2208 0.3886
0.0000 0.2775 0.8613
0.0000 0.7225 0.8613
0.0000 0.7792 0.3886
0.2208 0.0000 0.6114
0.2212 0.5000 0.6382
0.2775 0.0000 0.1387
0.2787 0.5000 0.1113
0.5000 0.2212 0.3618
0.5000 0.2787 0.8887
0.5000 0.7213 0.8887
0.5000 0.7788 0.3618
0.7213 0.5000 0.1113
0.7225 0.0000 0.1387
0.7792 0.0000 0.6114
0.7788 0.5000 0.6382
```

Main lines, in order of rising 2θ (2θ = 10–90°):
| 2theta | I_rel |
| --- | --- |
| 18.91 | 10 |
| 31.13 | 33 |
| 36.68 | 100 |
| 38.37 | 10 |
| 44.55 | 11 |
| 55.39 | 11 |
| 59.02 | 26 |
| 59.19 | 10 |
| 64.83 | 14 |
| 64.95 | 28 |

=====

3.
Simulated powder diffractogram of Co9Cu3O16 for Cu Kα X-rays, from a cell relaxed with PBE+U.
Intensities are scaled so that the largest is 100.

Atomic structure:
```
Co9Cu3O16
1.0
2.8735 1.6590 9.4834
-2.8735 1.6590 9.4834
0.0000 -3.3181 9.4834
Co Cu O
9 3 16
Direct
0.0000 0.0000 0.0000
0.0618 0.0618 0.5628
0.0618 0.5628 0.0618
0.0626 0.5641 0.5641
0.1255 0.1255 0.1255
0.5628 0.0618 0.0618
0.5641 0.0626 0.5641
0.5641 0.5641 0.0626
0.8129 0.8129 0.8129
0.3126 0.3126 0.3126
0.5003 0.5003 0.5003
0.6250 0.6250 0.6250
0.1516 0.7094 0.7094
0.1943 0.1943 0.1943
0.2066 0.2066 0.6627
0.2066 0.6627 0.2066
0.4183 0.4183 0.9648
0.4183 0.9648 0.4183
0.4313 0.4313 0.4313
0.4730 0.9173 0.9173
0.6627 0.2066 0.2066
0.6952 0.6952 0.6952
0.7094 0.1516 0.7094
0.7094 0.7094 0.1516
0.9173 0.4730 0.9173
0.9173 0.9173 0.4730
0.9307 0.9307 0.9307
0.9648 0.4183 0.4183
```

Main lines, in order of rising 2θ (2θ = 10–90°):
| 2theta | I_rel |
| --- | --- |
| 18.89 | 11 |
| 30.90 | 20 |
| 31.12 | 22 |
| 36.37 | 34 |
| 36.59 | 100 |
| 44.43 | 23 |
| 58.85 | 21 |
| 58.98 | 16 |
| 64.40 | 28 |
| 64.90 | 28 |

=====

4.
Simulated powder diffractogram of Ti3CoCu2P6O24 for Cu Kα X-rays, from a cell relaxed with PBE+U.
Intensities are scaled so that the largest is 100.

Atomic structure:
```
Ti3CoCu2P6O24
1.0
4.3100 2.4884 6.9746
-4.3100 2.4884 6.9746
0.0000 -4.9768 6.9746
Ti Co Cu P O
3 1 2 6 24
Direct
0.0000 0.0000 0.0000
0.2147 0.2147 0.2147
0.5013 0.5013 0.5013
0.7146 0.7146 0.7146
0.3573 0.3573 0.3573
0.8558 0.8558 0.8558
0.1065 0.8153 0.4012
0.3182 0.6097 0.8999
0.4012 0.1065 0.8153
0.6097 0.8999 0.3182
0.8153 0.4012 0.1065
0.8999 0.3182 0.6097
0.0478 0.8588 0.2357
0.0940 0.2938 0.4453
0.1232 0.7739 0.9108
0.1746 0.9764 0.3507
0.2357 0.0478 0.8588
0.2716 0.6220 0.4156
0.2938 0.4453 0.0940
0.3507 0.1746 0.9764
0.3631 0.5466 0.7366
0.4156 0.2716 0.6220
0.4453 0.0940 0.2938
0.4749 0.6684 0.8678
0.5466 0.7366 0.3631
0.5921 0.9431 0.8066
0.6220 0.4156 0.2716
0.6684 0.8678 0.4749
0.7366 0.3631 0.5466
0.7739 0.9108 0.1232
0.8066 0.5921 0.9431
0.8588 0.2357 0.0478
0.8678 0.4749 0.6684
0.9108 0.1232 0.7739
0.9431 0.8066 0.5921
0.9764 0.3507 0.1746
```

Main lines, in order of rising 2θ (2θ = 10–90°):
| 2theta | I_rel |
| --- | --- |
| 20.61 | 87 |
| 24.28 | 100 |
| 25.33 | 22 |
| 33.04 | 74 |
| 36.10 | 36 |
| 47.40 | 33 |
| 49.74 | 27 |
| 56.49 | 24 |
| 56.70 | 16 |
| 62.98 | 18 |

=====

5.
Simulated powder diffractogram of PaCo2Cu2O7 for Cu Kα X-rays, from a cell relaxed with PBE+U.
Intensities are scaled so that the largest is 100.

Atomic structure:
```
PaCo2Cu2O7
1.0
2.6723 1.5429 7.8983
-2.6723 1.5429 7.8983
0.0000 -3.0857 7.8983
Pa Co Cu O
1 2 2 7
Direct
0.0000 0.0000 0.0000
0.4244 0.4244 0.4244
0.5756 0.5756 0.5756
0.2674 0.2674 0.2674
0.7326 0.7326 0.7326
0.0794 0.3696 0.7271
0.2729 0.6304 0.9206
0.3696 0.7271 0.0794
0.5000 0.5000 0.5000
0.6304 0.9206 0.2729
0.7271 0.0794 0.3696
0.9206 0.2729 0.6304
```

Main lines, in order of rising 2θ (2θ = 10–90°):
| 2theta | I_rel |
| --- | --- |
| 11.20 | 100 |
| 20.60 | 34 |
| 24.41 | 68 |
| 26.93 | 27 |
| 32.78 | 55 |
| 33.53 | 63 |
| 35.46 | 24 |
| 47.60 | 21 |
| 58.07 | 25 |
| 59.48 | 20 |

=====

6.
Simulated powder diffractogram of Co4Cu3PbO12 for Cu Kα X-rays, from a cell relaxed with PBE+U.
Intensities are scaled so that the largest is 100.

Atomic structure:
```
Co4Cu3PbO12
1.0
-3.6644 3.6644 3.6644
3.6644 -3.6644 3.6644
3.6644 3.6644 -3.6644
Co Cu Pb O
4 3 1 12
Direct
0.0000 0.0000 0.5000
0.0000 0.5000 0.0000
0.5000 0.0000 0.0000
0.5000 0.5000 0.5000
0.0000 0.5000 0.5000
0.5000 0.0000 0.5000
0.5000 0.5000 0.0000
0.0000 0.0000 0.0000
0.1373 0.8253 0.3120
0.1747 0.3120 0.4868
0.1747 0.6880 0.8627
0.3120 0.1373 0.8253
0.3120 0.4868 0.1747
0.4868 0.1747 0.3120
0.5132 0.8253 0.6880
0.6880 0.5132 0.8253
0.6880 0.8627 0.1747
0.8253 0.3120 0.1373
0.8253 0.6880 0.5132
0.8627 0.1747 0.6880
```

Main lines, in order of rising 2θ (2θ = 10–90°):
| 2theta | I_rel |
| --- | --- |
| 17.11 | 24 |
| 24.29 | 6 |
| 29.86 | 11 |
| 34.62 | 100 |
| 38.86 | 14 |
| 46.36 | 15 |
| 49.77 | 24 |
| 62.04 | 46 |
| 73.03 | 12 |
| 83.41 | 17 |